Calculated powder diffraction line list of K2Yb2O3 for CuKα, from a structure optimized by DFT (PBE).

Most intense lines, 10 to 90 degrees two-theta, by intensity:
d 2.985, 29.9 deg, I = 100
d 4.630, 19.2 deg, I = 69
d 2.925, 30.6 deg, I = 44
d 3.168, 28.2 deg, I = 39
d 4.523, 19.6 deg, I = 39
d 2.738, 32.7 deg, I = 39
d 5.960, 14.9 deg, I = 31
d 2.836, 31.5 deg, I = 30
d 2.195, 41.1 deg, I = 23
d 1.700, 53.9 deg, I = 21

Atomic structure:
```
14
Lattice="6.712 0.000 0.000 0.000 6.944 0.000 -3.218 0.000 6.213" Properties=species:S:1:pos:R:3 pbc="T T T"
K -0.319 1.006 2.612
K -1.928 2.466 5.719
K 5.421 4.479 0.495
K 3.812 5.938 3.601
Yb 0.402 4.281 3.612
Yb 2.011 6.135 0.505
Yb 1.482 0.809 5.708
Yb 3.092 2.663 2.602
O 0.000 0.000 0.000
O -1.609 3.472 3.107
O 1.725 4.266 1.732
O 0.116 6.150 4.839
O 3.377 0.794 1.374
O 1.768 2.678 4.481
```


Calculated powder diffraction line list of Y2Tm2Ga4Pd for CuKα, from a structure optimized by DFT (PBE).

Most intense lines, 10 to 90 degrees two-theta, by intensity:
d 2.715, 33.0 deg, I = 100
d 2.477, 36.3 deg, I = 76
d 3.246, 27.5 deg, I = 35
d 1.472, 63.2 deg, I = 30
d 1.623, 56.7 deg, I = 28
d 1.752, 52.2 deg, I = 26
d 3.503, 25.4 deg, I = 25
d 1.970, 46.1 deg, I = 22
d 2.148, 42.1 deg, I = 18
d 2.114, 42.8 deg, I = 16

Atomic structure:
```
9
Lattice="-3.503 3.503 4.297 3.503 -3.503 4.297 3.503 3.503 -4.297" Properties=species:S:1:pos:R:3 pbc="T T T"
Y 0.000 0.000 1.645
Y 0.000 0.000 6.948
Tm 3.503 0.000 2.148
Tm 0.000 3.503 2.148
Ga 1.753 1.753 0.000
Ga 1.750 -1.750 4.297
Ga -1.750 1.750 4.297
Ga 1.750 1.750 4.297
Pd 0.000 0.000 4.297
```